For Dy6InS4, the PBE geometry in Alexandria gives the computed powder X-ray diffraction pattern in this record (Cu Kα X-rays).

Cell and atoms:
Lattice parameters (Å, degrees): 6.8489 6.8489 20.0897 90.00 90.00 146.66
Fractional positions:
Dy: 0.0000 0.0000 0.0000
Dy: 0.0000 0.0000 0.5000
Dy: 0.1523 0.8477 0.7500
Dy: 0.2716 0.7284 0.0840
Dy: 0.2716 0.7284 0.4160
Dy: 0.4608 0.5392 0.6574
Dy: 0.4608 0.5392 0.8426
Dy: 0.5392 0.4608 0.1574
Dy: 0.5392 0.4608 0.3426
Dy: 0.7284 0.2716 0.5840
Dy: 0.7284 0.2716 0.9160
Dy: 0.8477 0.1523 0.2500
In: 0.1640 0.8360 0.2500
In: 0.8360 0.1640 0.7500
S: 0.0939 0.9061 0.6212
S: 0.0939 0.9061 0.8788
S: 0.3622 0.6378 0.5392
S: 0.3622 0.6378 0.9608
S: 0.6378 0.3622 0.0392
S: 0.6378 0.3622 0.4608
S: 0.9061 0.0939 0.1212
S: 0.9061 0.0939 0.3788

The 6 most intense peaks (2θ = 10–80°), low angle first:
| 2θ/deg | Rel. int. |
| --- | --- |
| 27.2 | 35 |
| 29.7 | 64 |
| 30.0 | 100 |
| 30.9 | 46 |
| 31.9 | 98 |
| 47.4 | 47 |